(1)
Structure and theoretical X-ray diffraction stick pattern of LiIn6Ag (a cell relaxed with PBE; Cu Kα X-rays).
Peak positions follow from Bragg's law for the DFT cell and can differ from measured ones.

Principal peaks in the range 10 to 90 degrees two-theta, in order of falling intensity:
two_theta	I_rel
40.05	100
27.20	69
35.92	41
28.83	34
41.59	16
27.38	16
60.96	15
56.10	13
67.27	11
67.42	10

Cell and atoms:
```
LiIn6Ag
1.0
3.9746 -6.5142 0.0000
3.9746 6.5142 0.0000
-3.1350 0.0000 3.8958
Li In Ag
1 6 1
Direct
0.0000 0.0000 0.0000
0.0572 0.4358 0.2465
0.2461 0.2461 0.7465
0.4358 0.0572 0.2465
0.5642 0.9428 0.7535
0.7539 0.7539 0.2535
0.9428 0.5642 0.7535
0.5000 0.5000 0.5000
```



(2)
Structure and theoretical X-ray diffraction stick pattern of Li4In3Ag5 (a cell relaxed with PBE; Cu Kα X-rays).
Peak positions follow from Bragg's law for the DFT cell and can differ from measured ones.

Principal peaks in the range 10 to 90 degrees two-theta, in order of falling intensity:
two_theta	I_rel
38.35	100
40.20	81
38.01	65
25.64	63
22.88	48
39.94	38
25.36	32
34.56	28
22.05	19
29.95	18

Cell and atoms:
```
Li4In3Ag5
1.0
4.5228 0.0000 0.0000
1.9733 4.7572 0.0000
1.9881 1.3086 10.4397
Li In Ag
4 3 5
Direct
0.0748 0.0290 0.3483
0.3525 0.7599 0.0359
0.6475 0.2401 0.9641
0.9252 0.9710 0.6517
0.0000 0.5000 0.5000
0.2588 0.1605 0.7977
0.7412 0.8395 0.2023
0.0584 0.2867 0.1072
0.4318 0.4243 0.2681
0.5000 0.0000 0.5000
0.5682 0.5757 0.7319
0.9416 0.7133 0.8928
```



(3)
Structure and theoretical X-ray diffraction stick pattern of LiIn3Ag4 (a cell relaxed with PBE; Cu Kα X-rays).
Peak positions follow from Bragg's law for the DFT cell and can differ from measured ones.

Principal peaks in the range 10 to 90 degrees two-theta, in order of falling intensity:
two_theta	I_rel
38.55	100
37.07	75
33.76	51
39.26	51
38.70	50
39.09	49
38.83	47
34.34	21
73.65	18
60.01	17

Cell and atoms:
```
LiIn3Ag4
1.0
5.7230 0.0000 0.0000
1.6280 5.9481 0.0000
0.9088 1.3002 9.1796
Li In Ag
2 6 8
Direct
0.0123 0.4369 0.2273
0.9877 0.5631 0.7727
0.2343 0.3194 0.5223
0.2480 0.6915 0.9859
0.4671 0.0618 0.2644
0.5329 0.9382 0.7356
0.7520 0.3085 0.0141
0.7657 0.6806 0.4777
0.0178 0.9320 0.2324
0.2154 0.8111 0.5248
0.2756 0.1975 0.9750
0.4806 0.5527 0.2698
0.5194 0.4473 0.7302
0.7244 0.8025 0.0250
0.7846 0.1889 0.4752
0.9822 0.0680 0.7676
```



(4)
Structure and theoretical X-ray diffraction stick pattern of LiIn2Ag4 (a cell relaxed with PBE; Cu Kα X-rays).
Peak positions follow from Bragg's law for the DFT cell and can differ from measured ones.

Principal peaks in the range 10 to 90 degrees two-theta, in order of falling intensity:
two_theta	I_rel
36.34	100
37.13	47
37.47	46
41.20	35
41.54	35
45.50	25
58.60	12
61.26	11
62.82	10
77.18	10

Cell and atoms:
```
LiIn2Ag4
1.0
6.3013 0.0000 0.0000
1.5898 6.1563 0.0000
3.1055 2.4308 6.8601
Li In Ag
2 4 8
Direct
0.0000 0.0000 0.0000
0.3485 0.7135 0.4275
0.0827 0.1513 0.2834
0.4261 0.8466 0.7278
0.5792 0.1507 0.2801
0.6418 0.3121 0.5944
0.1519 0.2941 0.5778
0.2012 0.4323 0.8685
0.2835 0.5881 0.1484
0.5084 0.0028 0.0030
0.7367 0.4369 0.8693
0.7837 0.5866 0.1575
0.8674 0.7298 0.4306
0.9400 0.8672 0.7163
```



(5)
Structure and theoretical X-ray diffraction stick pattern of LiIn4Ag4 (a cell relaxed with PBE; Cu Kα X-rays).
Peak positions follow from Bragg's law for the DFT cell and can differ from measured ones.

Principal peaks in the range 10 to 90 degrees two-theta, in order of falling intensity:
two_theta	I_rel
35.91	100
22.89	76
39.75	65
43.01	58
22.14	52
38.38	42
46.62	40
61.92	32
45.16	24
32.40	21

Cell and atoms:
```
LiIn4Ag4
1.0
0.0000 4.6902 7.7712
2.9561 0.0000 7.7712
2.9561 4.6902 0.0000
Li In Ag
1 4 4
Direct
0.0000 0.0000 0.0000
0.1602 0.6411 0.3589
0.4148 0.9125 0.5852
0.6411 0.1602 0.8398
0.9125 0.4148 0.0875
0.0911 0.5983 0.9089
0.3445 0.8388 0.1612
0.5983 0.0911 0.4017
0.8388 0.3445 0.6555
```



(6)
Structure and theoretical X-ray diffraction stick pattern of LiIn4Ag5 (a cell relaxed with PBE; Cu Kα X-rays).
Peak positions follow from Bragg's law for the DFT cell and can differ from measured ones.

Principal peaks in the range 10 to 90 degrees two-theta, in order of falling intensity:
two_theta	I_rel
35.77	100
35.22	98
36.35	96
36.88	89
41.21	71
41.53	63
42.89	56
61.23	36
58.40	21
61.45	19

Cell and atoms:
```
LiIn4Ag5
1.0
5.2306 0.0000 0.0000
-1.4696 5.8851 0.0000
-1.0905 -2.1124 6.5342
Li In Ag
1 4 5
Direct
0.0000 0.0000 0.0000
0.2011 0.9052 0.3906
0.3955 0.7906 0.8029
0.5913 0.6559 0.1935
0.7875 0.5455 0.6115
0.1857 0.3821 0.3916
0.3945 0.2699 0.8046
0.5961 0.1712 0.1997
0.8081 0.0636 0.6070
0.9937 0.4666 0.0013
```